Starting from a DFT-relaxed cell (GGA+U, the Materials Project), the X-ray powder pattern of Li2Mn3B3O9 was simulated for Cu Kα (λ = 1.5418 Å).
No peak broadening, texture or thermal motion is included.

Principal peaks in the range 2θ from 10° to 90°, low angle first:
2θ (°), Rel. int.
20.15, 1000
20.76, 290
21.85, 545
22.71, 821
33.95, 285
34.08, 387
34.20, 952
37.40, 272
39.68, 316
40.74, 381

Atomic structure:
Cell lengths 5.291, 6.190, 11.787 Å; angles 84.53, 78.94, 87.36 degrees
Space group P1 (No. 1)
Unique sites:
Li 0.000 0.000 0.000 x1
Li 0.031 0.604 0.262 x1
Li 0.367 0.933 0.592 x1
Li 0.684 0.285 0.918 x1
Mn 0.147 0.448 0.010 x1
Mn 0.194 0.509 0.580 x1
Mn 0.494 0.769 0.339 x1
Mn 0.536 0.835 0.907 x1
Mn 0.825 0.108 0.671 x1
Mn 0.868 0.173 0.248 x1
B 0.100 0.758 0.795 x1
B 0.252 0.217 0.790 x1
B 0.434 0.053 0.129 x1
B 0.589 0.553 0.124 x1
B 0.765 0.409 0.464 x1
B 0.921 0.886 0.458 x1
O 0.061 0.268 0.881 x1
O 0.147 0.761 0.908 x1
O 0.171 0.833 0.473 x1
O 0.184 0.113 0.114 x1
O 0.191 0.190 0.680 x1
O 0.278 0.684 0.708 x1
O 0.395 0.626 0.208 x1
O 0.499 0.045 0.240 x1
O 0.505 0.173 0.803 x1
O 0.528 0.512 0.450 x1
O 0.537 0.525 0.014 x1
O 0.626 0.019 0.035 x1
O 0.732 0.960 0.544 x1
O 0.817 0.385 0.579 x1
O 0.835 0.501 0.146 x1
O 0.857 0.853 0.351 x1
O 0.859 0.846 0.776 x1
O 0.945 0.354 0.374 x1